Starting from the GGA-PBE geometry in Alexandria, the PXRD pattern of Ba8Bi3SI4 was computed for CuKα.

Cell and atoms:
Unit cell a=10.0467 b=10.0467 c=24.9955 alpha=90.00 beta=90.00 gamma=120.00
Space group R-3m (No. 166, hexagonal axes)
Unique sites:
Ba: 0.0000 0.0000 0.2423 (multiplicity 6)
Ba: 0.0116 0.5058 0.2385 (multiplicity 18)
Bi: 0.0000 0.5000 0.5000 (multiplicity 9)
S: 0.0000 0.0000 0.5000 (multiplicity 3)
I: 0.0000 0.0000 0.0000 (multiplicity 3)
I: 0.0000 0.5000 0.0000 (multiplicity 9)

Peak list (10 most intense, 10 to 90 degrees two-theta, in order of falling intensity)
3.570 Å, I 100, (0 2 4); 2.512 Å, I 40, (2 2 0); 2.538 Å, I 36, (2 0 8); 2.054 Å, I 21, (4 0 4); 1.590 Å, I 19, (2 4 4); 1.603 Å, I 15, (2 2 12); 1.455 Å, I 13, (4 2 8); 1.785 Å, I 13, (0 4 8); 1.185 Å, I 7, (6 2 4); 1.450 Å, I 7, (6 0 0)